Computed X-ray diffraction stick pattern of YMnFeO5 for CuKα, from DFT lattice parameters and positions (PBE+U).
No peak broadening, texture or thermal motion is included.

Crystal structure
```
YMnFeO5
1.0
7.359 0.000 0.000
0.000 8.634 0.000
0.000 0.000 5.803
Y Mn Fe O
4 4 4 20
Cartesian
0.977 1.460 0.000
2.702 5.777 0.000
4.656 2.856 0.000
6.382 7.173 0.000
0.000 4.317 1.447
0.000 4.317 4.357
3.679 0.000 1.447
3.679 0.000 4.357
0.790 7.369 2.902
2.890 3.052 2.902
4.469 5.581 2.902
6.569 1.264 2.902
0.000 0.000 1.550
0.000 0.000 4.253
0.787 6.085 1.398
0.787 6.085 4.405
1.107 3.711 2.902
1.186 3.818 0.000
2.493 8.135 0.000
2.572 8.028 2.902
2.892 1.768 1.398
2.892 1.768 4.405
3.679 4.317 1.550
3.679 4.317 4.253
4.467 6.865 1.398
4.467 6.865 4.405
4.787 0.606 2.902
4.866 0.498 0.000
6.173 4.815 0.000
6.252 4.922 2.902
6.572 2.549 1.398
6.572 2.549 4.405
```

Peak list (8 most intense, 2θ = 10–80°, by angle)
28.48 deg, rel. 73
30.58 deg, rel. 100
33.43 deg, rel. 45
34.82 deg, rel. 36
45.30 deg, rel. 22
52.87 deg, rel. 20
54.65 deg, rel. 21
58.82 deg, rel. 24